(1)
This entry pairs a crystal structure of Rb5Sb2Pt with its simulated powder diffractogram. Radiation: Cu Kα. Structure: a structure optimized by DFT (PBE).

Largest 10 diffraction maxima, sorted by position, 15 to 90 degrees two-theta:
2θ/deg  d (Å)  I_rel
16.83  5.267  26
17.63  5.031  16
26.98  3.305  27
28.89  3.091  100
29.47  3.031  16
34.80  2.578  12
40.16  2.246  13
46.43  1.956  13
51.19  1.785  20
59.85  1.545  12

Crystal structure
```
data_Rb5Sb2Pt
_space_group_name_H-M_alt 'R -3 m'
_space_group_IT_number 166
_space_group_name_Hall '-R 3 2"'
_cell_length_a 6.1818
_cell_length_b 6.1818
_cell_length_c 29.4114
_cell_angle_alpha 90.00
_cell_angle_beta 90.00
_cell_angle_gamma 120.00
loop_
_atom_site_label
_atom_site_type_symbol
_atom_site_fract_x
_atom_site_fract_y
_atom_site_fract_z
Rb1 Rb 0.0000 0.0000 0.0000
Rb2 Rb 0.0000 0.0000 0.1390
Rb3 Rb 0.0000 0.0000 0.2804
Sb1 Sb 0.0000 0.0000 0.4115
Pt1 Pt 0.0000 0.0000 0.5000
```



(2)
This entry pairs a crystal structure of Rb4SiPtSe6 with its simulated powder diffractogram. Radiation: Cu Kα. Structure: a structure optimized by DFT (PBE).

Largest 10 diffraction maxima, sorted by position, 15 to 90 degrees two-theta:
2θ/deg  d (Å)  I_rel
15.66  5.660  89
25.47  3.497  100
26.15  3.408  93
26.64  3.346  94
30.05  2.974  37
30.70  2.912  24
37.17  2.419  43
38.93  2.313  30
44.17  2.051  23
52.33  1.748  32

Crystal structure
```
data_Rb4SiPtSe6
_space_group_name_H-M_alt 'P 1'
_space_group_IT_number 1
_space_group_name_Hall 'P 1'
_cell_length_a 6.9950
_cell_length_b 7.6778
_cell_length_c 9.7305
_cell_angle_alpha 69.28
_cell_angle_beta 69.55
_cell_angle_gamma 63.76
loop_
_atom_site_label
_atom_site_type_symbol
_atom_site_fract_x
_atom_site_fract_y
_atom_site_fract_z
Rb1 Rb 0.0000 0.0000 0.0000
Rb2 Rb 0.1912 0.3760 0.2469
Rb3 Rb 0.4264 0.7160 0.4425
Rb4 Rb 0.7626 0.6811 0.7889
Si1 Si 0.4533 0.2621 0.8297
Pt1 Pt 0.6938 0.1513 0.4694
Se1 Se 0.2795 0.5783 0.8539
Se2 Se 0.3397 0.2095 0.6501
Se3 Se 0.4769 0.0101 0.0366
Se4 Se 0.7210 0.3488 0.2147
Se5 Se 0.7953 0.2217 0.6546
Se6 Se 0.8912 0.8475 0.3840
```